Diffraction record for CsMg14V. The PXRD pattern is simulated, not measured: it uses a GGA-PBE-relaxed structure and CuKα.
Peak positions follow from Bragg's law for the DFT cell and can differ from measured ones.

Structure:
```
16
Lattice="6.5115 0.0000 0.0000 -3.2557 5.6391 0.0000 0.0000 0.0000 10.7673" Properties=species:S:1:pos:R:3 pbc="T T T"
Cs 0.0000 0.0000 0.0000
Mg -1.5939 2.8391 0.0000
Mg 0.0000 1.9074 2.9689
Mg 0.0000 1.9074 7.7984
Mg -1.6039 4.6854 2.9689
Mg -1.6039 4.6854 7.7984
Mg 1.5940 2.8391 0.0000
Mg 0.0000 5.5999 0.0000
Mg 3.2557 0.0278 5.3837
Mg 1.6519 2.8057 5.3837
Mg 1.6039 4.6854 2.9689
Mg 1.6039 4.6854 7.7984
Mg 3.2557 1.8797 2.6121
Mg 3.2557 1.8797 8.1552
Mg 4.8596 2.8057 5.3837
V 0.0000 0.0000 5.3837
```

Principal peaks in the range 5 to 70 degrees two-theta, low angle first:
2θ = 15.71°, I 28; 2θ = 17.76°, I 14; 2θ = 22.84°, I 26; 2θ = 31.74°, I 28; 2θ = 33.28°, I 25; 2θ = 35.96°, I 100; 2θ = 46.65°, I 18; 2θ = 56.53°, I 17; 2θ = 61.22°, I 17; 2θ = 67.21°, I 18

Diffraction record for CsTlO. The PXRD pattern is simulated, not measured: it uses a GGA-PBE-relaxed structure and CuKα.
Peak positions follow from Bragg's law for the DFT cell and can differ from measured ones.

Structure:
```
6
Lattice="7.1915 -1.9417 0.0000 7.1915 1.9417 0.0000 -1.8720 0.0000 6.4488" Properties=species:S:1:pos:R:3 pbc="T T T"
Cs 1.1284 0.0000 2.2233
Cs 11.3825 0.0000 4.2255
Tl 4.7684 0.0000 0.8906
Tl 7.7425 0.0000 5.5582
O 2.0841 0.0000 5.1106
O 10.4267 0.0000 1.3382
```

Principal peaks in the range 5 to 70 degrees two-theta, low angle first:
2θ = 12.82°, I 21; 2θ = 25.80°, I 50; 2θ = 27.06°, I 48; 2θ = 28.49°, I 100; 2θ = 30.81°, I 84; 2θ = 33.80°, I 37; 2θ = 45.60°, I 25; 2θ = 46.79°, I 16; 2θ = 47.15°, I 24; 2θ = 58.97°, I 23

Diffraction record for Ca2GaPt2. The PXRD pattern is simulated, not measured: it uses a GGA-PBE-relaxed structure and CuKα.
Peak positions follow from Bragg's law for the DFT cell and can differ from measured ones.

Structure:
```
10
Lattice="4.9421 -2.8456 0.0000 4.9421 2.8456 0.0000 -1.7290 0.0000 7.6872" Properties=species:S:1:pos:R:3 pbc="T T T"
Ca 1.2239 0.7658 1.1522
Ca 0.3594 -0.7658 4.9958
Ca 7.7958 0.7658 2.6914
Ca 6.9313 -0.7658 6.5350
Ga 4.5099 0.7194 1.9218
Ga 3.6454 -0.7194 5.7654
Pt 2.7975 0.7645 3.8176
Pt 6.2222 0.7645 0.0260
Pt 1.9330 -0.7645 7.6612
Pt 5.3577 -0.7645 3.8696
```

Principal peaks in the range 5 to 70 degrees two-theta, low angle first:
2θ = 18.10°, I 100; 2θ = 20.37°, I 48; 2θ = 22.58°, I 67; 2θ = 23.14°, I 61; 2θ = 35.90°, I 38; 2θ = 36.19°, I 35; 2θ = 37.26°, I 96; 2θ = 37.76°, I 42; 2θ = 39.53°, I 45; 2θ = 39.84°, I 87

Question: What is the formula in the third record?
Answer: Ca2GaPt2